# 1
This entry pairs a crystal structure of Er6Sb3Os with its theoretical X-ray powder pattern. Radiation: Cu Kα X-rays. Structure: a crystal structure in Alexandria, relaxed with GGA-PBE.
Lines closer than 0.1° are merged.

Structural model:
```
data_Er6Sb3Os
_cell_length_a 6.7128
_cell_length_b 8.1509
_cell_length_c 12.3481
_cell_angle_alpha 90.00
_cell_angle_beta 122.06
_cell_angle_gamma 90.00
_symmetry_space_group_name_H-M 'P 1'
_symmetry_Int_Tables_number 1
_symmetry_space_group_name_Hall 'P 1'
loop_
_atom_site_label
_atom_site_type_symbol
_atom_site_fract_x
_atom_site_fract_y
_atom_site_fract_z
Er1 Er 0.0758 0.1999 0.4372
Er2 Er 0.0758 0.3001 0.9372
Er3 Er 0.2816 0.6593 0.4367
Er4 Er 0.2816 0.8407 0.9367
Er5 Er 0.3920 0.0479 0.2327
Er6 Er 0.3920 0.4521 0.7327
Er7 Er 0.6080 0.5479 0.2673
Er8 Er 0.6080 0.9521 0.7673
Er9 Er 0.7184 0.1593 0.0633
Er10 Er 0.7184 0.3407 0.5633
Er11 Er 0.9242 0.6999 0.0628
Er12 Er 0.9242 0.8001 0.5628
Sb1 Sb 0.1691 0.1174 0.7354
Sb2 Sb 0.1691 0.3826 0.2354
Sb3 Sb 0.5000 0.0000 0.5000
Sb4 Sb 0.5000 0.5000 0.0000
Sb5 Sb 0.8309 0.6174 0.7646
Sb6 Sb 0.8309 0.8826 0.2646
Os1 Os 0.0000 0.0000 0.0000
Os2 Os 0.0000 0.5000 0.5000
```

Largest 8 diffraction maxima, in order of rising 2θ, 10° ≤ 2θ ≤ 80°:
2θ (°)	d [Å]	I/Imax
28.77	3.103	55
29.03	3.076	46
29.92	2.987	48
30.15	2.964	45
30.73	2.910	100
33.81	2.651	60
35.65	2.519	94
45.22	2.005	46


# 2
This entry pairs a crystal structure of NaB3H4O7 with its theoretical X-ray powder pattern. Radiation: Cu Kα X-rays. Structure: a crystal structure in Alexandria, relaxed with GGA-PBE.
Lines closer than 0.1° are merged.

Structural model:
```
data_NaB3H4O7
_cell_length_a 10.4891
_cell_length_b 10.4891
_cell_length_c 6.4791
_cell_angle_alpha 102.08
_cell_angle_beta 102.08
_cell_angle_gamma 56.29
_symmetry_space_group_name_H-M 'P 1'
_symmetry_Int_Tables_number 1
_symmetry_space_group_name_Hall 'P 1'
loop_
_atom_site_label
_atom_site_type_symbol
_atom_site_fract_x
_atom_site_fract_y
_atom_site_fract_z
Na1 Na 0.0679 0.5853 0.8974
Na2 Na 0.4147 0.9321 0.6026
Na3 Na 0.5853 0.0679 0.3974
Na4 Na 0.9321 0.4147 0.1026
B1 B 0.0033 0.8016 0.4847
B2 B 0.1693 0.5109 0.4347
B3 B 0.1984 0.9967 0.0153
B4 B 0.2812 0.6752 0.4838
B5 B 0.3248 0.7188 0.0162
B6 B 0.4891 0.8307 0.0653
B7 B 0.5109 0.1693 0.9347
B8 B 0.6752 0.2812 0.9838
B9 B 0.7188 0.3248 0.5162
B10 B 0.8016 0.0033 0.9847
B11 B 0.8307 0.4891 0.5653
B12 B 0.9967 0.1984 0.5153
H1 H 0.0288 0.8686 0.0124
H2 H 0.1290 0.3701 0.5467
H3 H 0.1314 0.9712 0.4876
H4 H 0.2446 0.3629 0.1675
H5 H 0.3629 0.2446 0.6675
H6 H 0.3701 0.1290 0.0467
H7 H 0.3872 0.4944 0.9901
H8 H 0.4944 0.3872 0.4901
H9 H 0.5056 0.6128 0.5099
H10 H 0.6128 0.5056 0.0099
H11 H 0.6299 0.8710 0.9533
H12 H 0.6371 0.7554 0.3325
H13 H 0.7554 0.6371 0.8325
H14 H 0.8686 0.0288 0.5124
H15 H 0.8710 0.6299 0.4533
H16 H 0.9712 0.1314 0.9876
O1 O 0.0214 0.6628 0.4815
O2 O 0.0638 0.1383 0.0000
O3 O 0.1321 0.8095 0.4804
O4 O 0.1383 0.0638 0.5000
O5 O 0.1449 0.4555 0.2121
O6 O 0.1905 0.8679 0.0196
O7 O 0.2003 0.4076 0.5862
O8 O 0.2971 0.6034 0.9967
O9 O 0.3025 0.5340 0.4745
O10 O 0.3372 0.9786 0.0185
O11 O 0.3966 0.7029 0.5033
O12 O 0.4076 0.2003 0.0862
O13 O 0.4555 0.1449 0.7121
O14 O 0.4660 0.6975 0.0255
O15 O 0.5340 0.3025 0.9745
O16 O 0.5445 0.8551 0.2879
O17 O 0.5924 0.7997 0.9138
O18 O 0.6034 0.2971 0.4967
O19 O 0.6628 0.0214 0.9815
O20 O 0.6975 0.4660 0.5255
O21 O 0.7029 0.3966 0.0033
O22 O 0.7997 0.5924 0.4138
O23 O 0.8095 0.1321 0.9804
O24 O 0.8551 0.5445 0.7879
O25 O 0.8617 0.9362 0.5000
O26 O 0.8679 0.1905 0.5196
O27 O 0.9362 0.8617 0.0000
O28 O 0.9786 0.3372 0.5185
```

Largest 8 diffraction maxima, in order of rising 2θ, 10° ≤ 2θ ≤ 80°:
2θ (°)	d [Å]	I/Imax
17.93	4.948	40
18.34	4.836	17
26.39	3.378	22
27.72	3.218	44
28.36	3.147	100
31.56	2.835	15
35.02	2.562	34
43.19	2.095	15


# 3
This entry pairs a crystal structure of PuMg2CdAu4 with its theoretical X-ray powder pattern. Radiation: Cu Kα X-rays. Structure: a crystal structure in Alexandria, relaxed with GGA-PBE.
Lines closer than 0.1° are merged.

Structural model:
```
data_PuMg2CdAu4
_cell_length_a 9.1597
_cell_length_b 9.1597
_cell_length_c 9.1597
_cell_angle_alpha 29.70
_cell_angle_beta 29.70
_cell_angle_gamma 29.70
_symmetry_space_group_name_H-M 'P 1'
_symmetry_Int_Tables_number 1
_symmetry_space_group_name_Hall 'P 1'
loop_
_atom_site_label
_atom_site_type_symbol
_atom_site_fract_x
_atom_site_fract_y
_atom_site_fract_z
Pu1 Pu 0.0000 0.0000 0.0000
Mg1 Mg 0.2405 0.2405 0.2405
Mg2 Mg 0.7595 0.7595 0.7595
Cd1 Cd 0.5000 0.5000 0.5000
Au1 Au 0.1209 0.1209 0.1209
Au2 Au 0.3904 0.3904 0.3904
Au3 Au 0.6096 0.6096 0.6096
Au4 Au 0.8791 0.8791 0.8791
```

Largest 8 diffraction maxima, in order of rising 2θ, 10° ≤ 2θ ≤ 80°:
2θ (°)	d [Å]	I/Imax
22.90	3.884	40
25.78	3.456	25
35.15	2.553	100
38.35	2.347	99
40.92	2.205	31
52.99	1.728	31
67.28	1.392	31
69.34	1.355	18